Record 1
# TbPuCdIn
Theoretical powder diffractogram, CuKα. Input: a cell relaxed with PBE.

Most intense lines, 10 to 90 degrees two-theta, sorted by position:
two_theta, I/Imax, index
20.32, 3.2, 1 1 1
23.51, 7.6, 2 0 0
33.49, 100.0, 2 2 0
41.33, 2.5, 2 2 2
48.09, 18.1, 4 0 0
54.20, 3.7, 4 2 0
59.87, 37.6, 4 2 2
70.37, 11.6, 4 4 0
80.22, 16.3, 6 2 0
89.78, 4.3, 4 4 4

Cell: 7.568 7.568 7.568 Å, 90.00 90.00 90.00°
Space group F-43m (No. 216)
One atom of each set of equivalent atoms:
Tb1 0.000 0.000 0.000 x4
Pu1 0.000 0.000 0.500 x4
Cd1 0.250 0.250 0.250 x4
In1 0.250 0.250 0.750 x4

Record 2
# Ba2Li16Ca
Theoretical powder diffractogram, CuKα. Input: a cell relaxed with PBE.

Most intense lines, 10 to 90 degrees two-theta, sorted by position:
two_theta, I/Imax, index
11.17, 35.3, 1 0 1
16.68, 100.0, 1 1 0
17.10, 20.8, 0 0 3
23.98, 65.3, 1 1 3
24.86, 28.7, 1 0 4
29.09, 34.2, 3 0 0
33.72, 26.5, 2 2 0
33.94, 35.6, 3 0 3
34.59, 29.7, 2 1 4
48.61, 32.8, 2 1 7

Cell: 10.6319 10.6319 15.5520 Å, 90.00 90.00 120.00°
Space group R3m (No. 160, hexagonal axes)
One atom of each set of equivalent atoms:
Ba1 0.0000 0.0000 0.0000 x3
Ba2 0.0000 0.0000 0.3003 x3
Li1 0.0000 0.0000 0.7589 x3
Li2 0.0001 0.2929 0.6565 x18
Li3 0.0141 0.5071 0.4984 x9
Li4 0.1672 0.3345 0.1422 x9
Li5 0.1725 0.3451 0.4866 x9
Ca1 0.0000 0.0000 0.5592 x3

Record 3
# Li2Co2Ni7
Theoretical powder diffractogram, CuKα. Input: a cell relaxed with PBE.

Most intense lines, 10 to 90 degrees two-theta, sorted by position:
two_theta, I/Imax, index
17.47, 17.4, 0 0 1
23.28, 6.7, 1 0 -1
44.38, 33.5, -2 1 1
44.54, 100.0, 0 2 1
51.25, 21.5, 1 0 -3
51.69, 22.7, 1 -3 1
52.62, 20.6, 2 1 0
75.68, 6.0, -2 3 2
75.88, 5.9, 0 3 -4
76.70, 5.8, 1 1 3

Cell: 4.300 5.580 5.628 Å, 107.31 105.54 98.06°
Space group P-1 (No. 2)
One atom of each set of equivalent atoms:
Li1 0.136 0.226 0.046 x2
Co1 0.055 0.410 0.672 x2
Ni1 0.228 0.044 0.419 x2
Ni2 0.328 0.862 0.770 x2
Ni3 0.402 0.680 0.134 x2
Ni4 0.500 0.500 0.500 x1